Starting from a crystal structure in Alexandria, relaxed with PBE, the X-ray powder pattern of AuF5 was calculated for Cu Kα, 1.54184 Å.
Kinematic intensities with the Lorentz-polarization factor, no thermal factor.

The 12 most intense peaks (2θ from 15° to 90°), by intensity:
- 2θ = 18.4°, I 100
- 2θ = 25.2°, I 49
- 2θ = 23.9°, I 31
- 2θ = 25.8°, I 23
- 2θ = 26.6°, I 21
- 2θ = 26.0°, I 19
- 2θ = 41.5°, I 16
- 2θ = 42.5°, I 16
- 2θ = 37.4°, I 12
- 2θ = 57.5°, I 11
- 2θ = 46.4°, I 11
- 2θ = 43.5°, I 10

Crystal structure
Cell: 5.127 5.127 8.351 Å, 110.10 110.10 81.76°
Positions (direct):
Au 0.000 0.000 0.000
Au 0.000 0.000 0.500
F 0.031 0.969 0.750
F 0.202 0.340 0.621
F 0.211 0.655 0.997
F 0.340 0.202 0.121
F 0.345 0.789 0.503
F 0.655 0.211 0.497
F 0.660 0.798 0.879
F 0.789 0.345 0.003
F 0.798 0.660 0.379
F 0.969 0.031 0.250